Entry 1:
Calculated PXRD pattern of K4AgAs2Pt for Cu Ka, from a GGA-PBE-relaxed structure.
Neutral-atom scattering factors, no anomalous dispersion.

Crystal structure
abc: 7.877 10.072 5.890
angles: 90.00 91.01 90.00
Fractional coordinates of all 16 atoms:
K (0.150, 0.173, 0.244)
K (0.150, 0.827, 0.244)
K (0.350, 0.327, 0.756)
K (0.350, 0.673, 0.756)
K (0.650, 0.327, 0.244)
K (0.650, 0.673, 0.244)
K (0.850, 0.173, 0.756)
K (0.850, 0.827, 0.756)
Ag (0.000, 0.500, 0.500)
Ag (0.500, 0.000, 0.500)
As (0.241, 0.000, 0.760)
As (0.259, 0.500, 0.240)
As (0.741, 0.500, 0.760)
As (0.759, 0.000, 0.240)
Pt (0.000, 0.500, 0.000)
Pt (0.500, 0.000, 0.000)

Principal peaks in the range 2θ = 10–80°, sorted by position:
| Position (°2θ) | Rel. int. |
| --- | --- |
| 14.28 | 1000 |
| 17.61 | 683 |
| 20.65 | 196 |
| 28.91 | 481 |
| 32.65 | 308 |
| 33.51 | 295 |
| 33.88 | 243 |
| 35.33 | 408 |
| 37.83 | 203 |
| 42.01 | 201 |
| 42.62 | 281 |
| 54.63 | 194 |

***

Entry 2:
Calculated PXRD pattern of K2RbAg3As2 for Cu Ka, from a GGA-PBE-relaxed structure.
Neutral-atom scattering factors, no anomalous dispersion.

Crystal structure
abc: 8.012 8.012 8.012
angles: 44.66 44.66 44.66
Fractional coordinates of all 8 atoms:
K (0.092, 0.092, 0.092)
K (0.908, 0.908, 0.908)
Rb (0.500, 0.500, 0.500)
Ag (0.000, 0.500, 0.500)
Ag (0.500, 0.000, 0.500)
Ag (0.500, 0.500, 0.000)
As (0.246, 0.246, 0.246)
As (0.754, 0.754, 0.754)

Principal peaks in the range 2θ = 10–80°, sorted by position:
| Position (°2θ) | Rel. int. |
| --- | --- |
| 12.29 | 954 |
| 17.31 | 403 |
| 18.73 | 474 |
| 26.68 | 638 |
| 31.92 | 586 |
| 33.65 | 391 |
| 34.27 | 506 |
| 35.04 | 417 |
| 37.98 | 1000 |
| 38.74 | 448 |
| 48.25 | 636 |
| 60.87 | 372 |

***

Entry 3:
Calculated PXRD pattern of KAgAsS2 for Cu Ka, from a GGA-PBE-relaxed structure.
Neutral-atom scattering factors, no anomalous dispersion.

Crystal structure
abc: 8.179 5.284 11.858
angles: 90.00 98.22 90.00
Fractional coordinates of all 20 atoms:
K (0.071, 0.223, 0.126)
K (0.071, 0.277, 0.626)
K (0.929, 0.723, 0.374)
K (0.929, 0.777, 0.874)
Ag (0.428, 0.022, 0.809)
Ag (0.428, 0.478, 0.309)
Ag (0.572, 0.522, 0.691)
Ag (0.572, 0.978, 0.191)
As (0.379, 0.632, 0.960)
As (0.379, 0.868, 0.460)
As (0.621, 0.132, 0.540)
As (0.621, 0.368, 0.040)
S (0.204, 0.178, 0.391)
S (0.204, 0.322, 0.891)
S (0.302, 0.734, 0.133)
S (0.302, 0.766, 0.633)
S (0.698, 0.234, 0.367)
S (0.698, 0.266, 0.867)
S (0.796, 0.678, 0.109)
S (0.796, 0.822, 0.609)

Principal peaks in the range 2θ = 10–80°, sorted by position:
| Position (°2θ) | Rel. int. |
| --- | --- |
| 10.93 | 1000 |
| 27.76 | 214 |
| 27.94 | 219 |
| 28.38 | 276 |
| 28.52 | 154 |
| 29.27 | 425 |
| 33.27 | 180 |
| 34.04 | 177 |
| 35.75 | 124 |
| 37.22 | 117 |
| 42.14 | 152 |
| 49.69 | 137 |

***

Entry 4:
Calculated PXRD pattern of RbNaAgAs for Cu Ka, from a GGA-PBE-relaxed structure.
Neutral-atom scattering factors, no anomalous dispersion.

Crystal structure
abc: 6.078 7.877 9.739
angles: 90.00 90.00 90.00
Fractional coordinates of all 16 atoms:
Rb (0.250, 0.147, 0.000)
Rb (0.250, 0.647, 0.500)
Rb (0.750, 0.353, 0.500)
Rb (0.750, 0.853, 0.000)
Na (0.250, 0.147, 0.352)
Na (0.250, 0.647, 0.852)
Na (0.750, 0.353, 0.852)
Na (0.750, 0.853, 0.352)
Ag (0.000, 0.000, 0.677)
Ag (0.000, 0.500, 0.177)
Ag (0.500, 0.000, 0.677)
Ag (0.500, 0.500, 0.177)
As (0.250, 0.261, 0.662)
As (0.250, 0.761, 0.162)
As (0.750, 0.239, 0.162)
As (0.750, 0.739, 0.662)

Principal peaks in the range 2θ = 10–80°, sorted by position:
| Position (°2θ) | Rel. int. |
| --- | --- |
| 14.46 | 995 |
| 18.22 | 782 |
| 20.59 | 348 |
| 26.98 | 303 |
| 29.77 | 754 |
| 32.90 | 878 |
| 33.29 | 1000 |
| 35.41 | 517 |
| 37.38 | 647 |
| 41.88 | 573 |
| 49.96 | 340 |
| 54.12 | 349 |

***

Entry 5:
Calculated PXRD pattern of RbNaAgAs for Cu Ka, from a GGA-PBE-relaxed structure.
Neutral-atom scattering factors, no anomalous dispersion.

Crystal structure
abc: 7.833 9.705 6.018
angles: 90.00 90.10 90.00
Fractional coordinates of all 16 atoms:
Rb (0.146, 0.000, 0.249)
Rb (0.354, 0.500, 0.751)
Rb (0.646, 0.500, 0.249)
Rb (0.854, 0.000, 0.751)
Na (0.145, 0.649, 0.252)
Na (0.355, 0.149, 0.748)
Na (0.645, 0.149, 0.252)
Na (0.855, 0.649, 0.748)
Ag (0.000, 0.324, 0.000)
Ag (0.000, 0.324, 0.500)
Ag (0.500, 0.824, 0.000)
Ag (0.500, 0.824, 0.500)
As (0.236, 0.836, 0.749)
As (0.264, 0.336, 0.251)
As (0.736, 0.336, 0.749)
As (0.764, 0.836, 0.251)

Principal peaks in the range 2θ = 10–80°, sorted by position:
| Position (°2θ) | Rel. int. |
| --- | --- |
| 14.53 | 957 |
| 18.28 | 792 |
| 20.74 | 357 |
| 29.88 | 753 |
| 32.94 | 310 |
| 33.21 | 894 |
| 33.46 | 1000 |
| 35.61 | 542 |
| 37.70 | 631 |
| 42.21 | 574 |
| 50.24 | 337 |
| 54.49 | 330 |

***

Entry 6:
Calculated PXRD pattern of RbNaAgAs for Cu Ka, from a GGA-PBE-relaxed structure.
Neutral-atom scattering factors, no anomalous dispersion.

Crystal structure
abc: 6.142 5.781 6.525
angles: 90.00 102.22 90.00
Fractional coordinates of all 8 atoms:
Rb (0.046, 0.250, 0.187)
Rb (0.954, 0.750, 0.813)
Na (0.342, 0.750, 0.504)
Na (0.658, 0.250, 0.496)
Ag (0.500, 0.000, 0.000)
Ag (0.500, 0.500, 0.000)
As (0.269, 0.250, 0.708)
As (0.731, 0.750, 0.292)

Principal peaks in the range 2θ = 10–80°, sorted by position:
| Position (°2θ) | Rel. int. |
| --- | --- |
| 13.89 | 800 |
| 18.02 | 607 |
| 21.34 | 392 |
| 23.74 | 261 |
| 27.24 | 297 |
| 30.10 | 676 |
| 32.77 | 509 |
| 33.95 | 354 |
| 34.06 | 279 |
| 34.48 | 1000 |
| 38.52 | 578 |
| 42.20 | 459 |

***

Entry 7:
Calculated PXRD pattern of Rb3NaAg2As2 for Cu Ka, from a GGA-PBE-relaxed structure.
Neutral-atom scattering factors, no anomalous dispersion.

Crystal structure
abc: 6.069 6.466 6.549
angles: 77.36 89.93 89.95
Fractional coordinates of all 8 atoms:
Rb (0.000, 0.000, 0.000)
Rb (0.000, 0.358, 0.333)
Rb (0.500, 0.077, 0.625)
Na (0.499, 0.693, 0.312)
Ag (0.249, 0.550, 0.800)
Ag (0.752, 0.550, 0.799)
As (0.001, 0.798, 0.538)
As (0.500, 0.325, 0.074)

Principal peaks in the range 2θ = 10–80°, sorted by position:
| Position (°2θ) | Rel. int. |
| --- | --- |
| 13.86 | 680 |
| 17.46 | 754 |
| 26.38 | 822 |
| 28.42 | 547 |
| 28.69 | 965 |
| 32.09 | 1000 |
| 32.33 | 813 |
| 32.70 | 890 |
| 34.12 | 497 |
| 34.40 | 563 |
| 36.96 | 885 |
| 41.02 | 524 |